The following is a calculated powder X-ray diffraction pattern of Al2RhAu. It was derived from a DFT-relaxed cell (GGA-PBE, Alexandria), using a wavelength of 1.5418 Å.
Intensities are scaled so that the largest is 100.

Top 8 peaks for 2θ = 10–90°, by intensity:
2θ (°), I (rel.), index
41.3, 100, 1 1 1
22.2, 68, 0 1 0
34.4, 59, 1 0 1
42.0, 48, 0 1 2
35.2, 27, 0 0 2
58.1, 26, 1 2 1
45.3, 22, 0 2 0
62.6, 17, 1 0 3

```
data_Al2RhAu
_chemical_formula_sum 'Al2 Rh1 Au1'
_cell_length_a 3.0344
_cell_length_b 4.0021
_cell_length_c 5.1007
_cell_angle_alpha 90.00
_cell_angle_beta 90.00
_cell_angle_gamma 90.00
_space_group_name_H-M_alt 'P 1'
_space_group_IT_number 1
loop_
_space_group_symop_operation_xyz
'x,y,z'
loop_
_atom_site_label
_atom_site_type_symbol
_atom_site_fract_x
_atom_site_fract_y
_atom_site_fract_z
Al1 Al 0.0000 0.0000 0.0000
Al2 Al 0.5000 0.0000 0.4678
Rh1 Rh 0.0000 0.5000 0.3165
Au1 Au 0.5000 0.5000 0.8150
```